Entry 1:
Simulated powder diffractogram
Compound: Li9Mn2Co5O16
Radiation: Cu Kα (λ = 1.5418 Å)
Structure: DFT lattice parameters and positions (GGA+U)
No peak broadening, texture or thermal motion is included.

Cell and atoms:
Lattice parameters (Å, degrees): 5.1945 5.9221 10.2934 104.65 95.18 109.11
Fractional positions:
Li (0.0000, 0.0000, 0.0000)
Li (0.0002, 0.2541, 0.4929)
Li (0.0020, 0.5088, 0.0002)
Li (0.0025, 0.1254, 0.7402)
Li (0.0053, 0.3683, 0.2479)
Li (0.0068, 0.6186, 0.7441)
Li (0.0067, 0.8862, 0.2482)
Li (0.5010, 0.3132, 0.3693)
Li (0.9973, 0.7450, 0.4911)
Mn (0.5038, 0.8175, 0.3691)
Mn (0.5054, 0.0610, 0.8713)
Co (0.4964, 0.9500, 0.1243)
Co (0.5002, 0.4360, 0.1224)
Co (0.4998, 0.5597, 0.8700)
Co (0.5021, 0.6701, 0.6116)
Co (0.5074, 0.1855, 0.6203)
O (0.2640, 0.5561, 0.4377)
O (0.2670, 0.6873, 0.1894)
O (0.2699, 0.4186, 0.6948)
O (0.2704, 0.8012, 0.9378)
O (0.2710, 0.1763, 0.1778)
O (0.2826, 0.9209, 0.6887)
O (0.2921, 0.0272, 0.4400)
O (0.2923, 0.2760, 0.9310)
O (0.7138, 0.6075, 0.3021)
O (0.7163, 0.6932, 0.0489)
O (0.7156, 0.8463, 0.8112)
O (0.7302, 0.4645, 0.5697)
O (0.7331, 0.0742, 0.2994)
O (0.7346, 0.3227, 0.8052)
O (0.7359, 0.1988, 0.0515)
O (0.7441, 0.9533, 0.5459)

Principal peaks in the range 5° ≤ 2θ ≤ 70°, by angle:
d (Å)  2θ/deg  I_rel
9.779  9.0  8
4.819  18.4  100
2.562  35.0  16
2.458  36.6  12
2.445  36.8  12
2.147  42.1  30
2.037  44.5  26
2.031  44.6  25
1.481  62.7  8
1.478  62.9  15


Entry 2:
Simulated powder diffractogram
Compound: LiMnO2
Radiation: Cu Kα (λ = 1.5418 Å)
Structure: DFT lattice parameters and positions (GGA+U)
No peak broadening, texture or thermal motion is included.

Cell and atoms:
Lattice parameters (Å, degrees): 5.9595 5.9595 5.9168 119.71 119.71 59.59
Fractional positions:
Li (0.0000, 0.0000, 0.0000)
Li (0.0000, 0.5000, 0.0000)
Li (0.5000, 0.0000, 0.0000)
Li (0.5000, 0.5000, 0.5000)
Mn (0.0000, 0.0000, 0.5000)
Mn (0.0000, 0.5000, 0.5000)
Mn (0.5000, 0.0000, 0.5000)
Mn (0.5000, 0.5000, 0.0000)
O (0.2411, 0.2411, 0.7537)
O (0.2411, 0.7305, 0.7410)
O (0.2501, 0.2501, 0.2850)
O (0.2695, 0.7589, 0.2590)
O (0.7305, 0.2411, 0.7410)
O (0.7499, 0.7499, 0.7150)
O (0.7589, 0.2695, 0.2590)
O (0.7589, 0.7589, 0.2463)

Principal peaks in the range 5° ≤ 2θ ≤ 70°, by angle:
d (Å)  2θ/deg  I_rel
4.854  18.3  95
4.186  21.2  55
2.981  30.0  44
2.528  35.5  29
2.428  37.0  32
2.123  42.6  52
2.093  43.2  100
1.713  53.5  14
1.490  62.3  55
1.480  62.8  27


Entry 3:
Simulated powder diffractogram
Compound: MgV2CoO6
Radiation: Cu Kα (λ = 1.5418 Å)
Structure: DFT lattice parameters and positions (GGA+U)
No peak broadening, texture or thermal motion is included.

Cell and atoms:
Lattice parameters (Å, degrees): 5.0865 5.0917 5.4011 62.49 62.63 60.60
Fractional positions:
Mg (0.0000, 0.0000, 0.0000)
V (0.2116, 0.2041, 0.3697)
V (0.7167, 0.6999, 0.8687)
Co (0.5101, 0.4900, 0.5003)
O (0.0930, 0.4197, 0.6610)
O (0.3241, 0.9423, 0.1668)
O (0.4479, 0.8128, 0.6721)
O (0.5893, 0.3200, 0.1642)
O (0.8349, 0.0754, 0.6639)
O (0.9312, 0.5830, 0.1614)

Principal peaks in the range 5° ≤ 2θ ≤ 70°, by angle:
d (Å)  2θ/deg  I_rel
3.714  24.0  56
2.717  33.0  100
2.688  33.3  48
2.568  34.9  38
2.544  35.3  67
1.858  49.0  45
1.854  49.1  23
1.707  53.7  43
1.692  54.2  26
1.478  62.9  37


Entry 4:
Simulated powder diffractogram
Compound: Li9Mn2Co5O16
Radiation: Cu Kα (λ = 1.5418 Å)
Structure: DFT lattice parameters and positions (GGA+U)
No peak broadening, texture or thermal motion is included.

Cell and atoms:
Lattice parameters (Å, degrees): 5.8870 5.8897 8.6209 88.23 70.30 87.73
Fractional positions:
Li (0.0000, 0.0000, 0.0000)
Li (0.0042, 0.4937, 0.9966)
Li (0.1288, 0.7383, 0.2340)
Li (0.2555, 0.4946, 0.4916)
Li (0.3682, 0.2550, 0.7573)
Li (0.5028, 0.0011, 0.9967)
Li (0.6409, 0.7386, 0.2337)
Li (0.7548, 0.4952, 0.4926)
Li (0.8762, 0.2527, 0.7552)
Mn (0.2507, 0.9965, 0.4935)
Mn (0.8758, 0.7406, 0.7499)
Co (0.1312, 0.2545, 0.2417)
Co (0.3692, 0.7394, 0.7497)
Co (0.5070, 0.4973, 0.9945)
Co (0.6401, 0.2558, 0.2379)
Co (0.7535, 0.9976, 0.4914)
O (0.0064, 0.7739, 0.5016)
O (0.0206, 0.2335, 0.4842)
O (0.1127, 0.5106, 0.7419)
O (0.1180, 0.9729, 0.7388)
O (0.2700, 0.2690, 0.0085)
O (0.2785, 0.7384, 0.9745)
O (0.3592, 0.0102, 0.2604)
O (0.4077, 0.4905, 0.2297)
O (0.4791, 0.7572, 0.5108)
O (0.4931, 0.2156, 0.4895)
O (0.6356, 0.5209, 0.7492)
O (0.6492, 0.9868, 0.7253)
O (0.7344, 0.2552, 0.0088)
O (0.7452, 0.7341, 0.9786)
O (0.8544, 0.0043, 0.2582)
O (0.8902, 0.4784, 0.2507)

Principal peaks in the range 5° ≤ 2θ ≤ 70°, by angle:
d (Å)  2θ/deg  I_rel
4.806  18.5  100
2.537  35.4  16
2.458  36.6  12
2.440  36.8  12
2.123  42.6  29
2.040  44.4  26
2.029  44.7  25
1.474  63.1  7
1.471  63.2  15
1.460  63.8  7


Entry 5:
Simulated powder diffractogram
Compound: VFe3Cu4O8
Radiation: Cu Kα (λ = 1.5418 Å)
Structure: DFT lattice parameters and positions (GGA+U)
No peak broadening, texture or thermal motion is included.

Cell and atoms:
Lattice parameters (Å, degrees): 23.1621 23.1621 23.1621 7.61 7.61 7.61
Fractional positions:
V (0.0000, 0.0000, 0.0000)
Fe (0.2500, 0.2500, 0.2500)
Fe (0.5000, 0.5000, 0.5000)
Fe (0.7500, 0.7500, 0.7500)
Cu (0.1251, 0.1251, 0.1251)
Cu (0.3750, 0.3750, 0.3750)
Cu (0.6250, 0.6250, 0.6250)
Cu (0.8749, 0.8749, 0.8749)
O (0.0984, 0.0984, 0.0984)
O (0.1517, 0.1517, 0.1517)
O (0.3483, 0.3483, 0.3483)
O (0.4017, 0.4017, 0.4017)
O (0.5983, 0.5983, 0.5983)
O (0.6517, 0.6517, 0.6517)
O (0.8483, 0.8483, 0.8483)
O (0.9016, 0.9016, 0.9016)

Principal peaks in the range 5° ≤ 2θ ≤ 70°, by angle:
d (Å)  2θ/deg  I_rel
2.887  31.0  29
2.630  34.1  9
2.544  35.3  100
2.267  39.8  37
1.925  47.2  1
1.679  54.7  30
1.536  60.2  25
1.452  64.2  20
1.443  64.6  4
1.356  69.3  16


Entry 6:
Simulated powder diffractogram
Compound: MnCdF5
Radiation: Cu Kα (λ = 1.5418 Å)
Structure: DFT lattice parameters and positions (GGA+U)
No peak broadening, texture or thermal motion is included.

Cell and atoms:
Lattice parameters (Å, degrees): 8.0372 6.4132 9.0600 90.00 115.89 90.00
Fractional positions:
Mn (0.0000, 0.0000, 0.0000)
Mn (0.0000, 0.5000, 0.5000)
Mn (0.5000, 0.0000, 0.0000)
Mn (0.5000, 0.5000, 0.5000)
Cd (0.2494, 0.0424, 0.4999)
Cd (0.2494, 0.4576, 0.9999)
Cd (0.7506, 0.5424, 0.0001)
Cd (0.7506, 0.9576, 0.5001)
F (0.0510, 0.7043, 0.0192)
F (0.0510, 0.7957, 0.5192)
F (0.1028, 0.0273, 0.2279)
F (0.1028, 0.4727, 0.7279)
F (0.2522, 0.1037, 0.0041)
F (0.2522, 0.3963, 0.5041)
F (0.3876, 0.0143, 0.7717)
F (0.3876, 0.4857, 0.2717)
F (0.4527, 0.7031, 0.9907)
F (0.4527, 0.7969, 0.4907)
F (0.5473, 0.2031, 0.5093)
F (0.5473, 0.2969, 0.0093)
F (0.6124, 0.5143, 0.7283)
F (0.6124, 0.9857, 0.2283)
F (0.7478, 0.6037, 0.4959)
F (0.7478, 0.8963, 0.9959)
F (0.8972, 0.5273, 0.2721)
F (0.8972, 0.9727, 0.7721)
F (0.9490, 0.2043, 0.4808)
F (0.9490, 0.2957, 0.9808)

Principal peaks in the range 5° ≤ 2θ ≤ 70°, by angle:
d (Å)  2θ/deg  I_rel
5.040  17.6  14
4.075  21.8  89
3.405  26.2  100
3.207  27.8  36
2.621  34.2  17
2.605  34.4  15
2.038  44.5  26
2.009  45.1  20
1.887  48.2  22
1.702  53.9  14


Entry 7:
Simulated powder diffractogram
Compound: Li11Fe5O2F22
Radiation: Cu Kα (λ = 1.5418 Å)
Structure: DFT lattice parameters and positions (GGA+U)
No peak broadening, texture or thermal motion is included.

Cell and atoms:
Lattice parameters (Å, degrees): 5.1620 8.7657 9.5635 90.40 90.60 90.43
Fractional positions:
Li (0.0000, 0.0000, 0.0000)
Li (0.0014, 0.6929, 0.2290)
Li (0.3735, 0.6694, 0.5115)
Li (0.3764, 0.9909, 0.7275)
Li (0.3809, 0.9877, 0.3069)
Li (0.4816, 0.4762, 0.8088)
Li (0.5053, 0.1745, 0.0019)
Li (0.8765, 0.4892, 0.5043)
Li (0.8833, 0.1862, 0.3057)
Li (0.8899, 0.1854, 0.7220)
Li (0.9752, 0.6821, 0.8027)
Fe (0.0222, 0.3490, 0.0002)
Fe (0.3958, 0.3073, 0.5041)
Fe (0.5029, 0.8186, 0.0010)
Fe (0.5040, 0.4705, 0.2308)
Fe (0.8687, 0.8541, 0.5028)
O (0.3307, 0.3446, 0.1053)
O (0.6627, 0.3507, 0.3724)
F (0.0249, 0.6793, 0.6051)
F (0.0357, 0.9954, 0.6286)
F (0.0709, 0.3327, 0.6037)
F (0.1356, 0.5033, 0.8680)
F (0.1587, 0.1720, 0.8810)
F (0.1705, 0.8254, 0.3801)
F (0.1939, 0.8415, 0.8810)
F (0.2198, 0.1634, 0.3792)
F (0.2221, 0.5035, 0.3779)
F (0.3436, 0.9865, 0.1092)
F (0.3557, 0.6706, 0.1379)
F (0.5322, 0.4901, 0.6133)
F (0.5464, 0.1640, 0.6313)
F (0.5571, 0.8346, 0.6098)
F (0.6357, 0.6638, 0.8789)
F (0.6503, 0.9877, 0.8874)
F (0.7091, 0.3208, 0.8766)
F (0.7107, 0.6774, 0.3805)
F (0.7260, 0.9993, 0.3739)
F (0.8223, 0.8341, 0.1057)
F (0.8405, 0.5067, 0.1275)
F (0.8481, 0.1790, 0.1059)

Principal peaks in the range 5° ≤ 2θ ≤ 70°, by angle:
d (Å)  2θ/deg  I_rel
4.781  18.6  49
4.383  20.3  43
4.045  22.0  100
4.002  22.2  62
3.243  27.5  35
3.223  27.7  35
2.602  34.5  20
2.251  40.1  56
2.229  40.5  28
1.994  45.5  34


Please write out number 5 again, unchanged.
Simulated powder diffractogram
Compound: VFe3Cu4O8
Radiation: Cu Kα (λ = 1.5418 Å)
Structure: DFT lattice parameters and positions (GGA+U)
No peak broadening, texture or thermal motion is included.

Cell and atoms:
Lattice parameters (Å, degrees): 23.1621 23.1621 23.1621 7.61 7.61 7.61
Fractional positions:
V (0.0000, 0.0000, 0.0000)
Fe (0.2500, 0.2500, 0.2500)
Fe (0.5000, 0.5000, 0.5000)
Fe (0.7500, 0.7500, 0.7500)
Cu (0.1251, 0.1251, 0.1251)
Cu (0.3750, 0.3750, 0.3750)
Cu (0.6250, 0.6250, 0.6250)
Cu (0.8749, 0.8749, 0.8749)
O (0.0984, 0.0984, 0.0984)
O (0.1517, 0.1517, 0.1517)
O (0.3483, 0.3483, 0.3483)
O (0.4017, 0.4017, 0.4017)
O (0.5983, 0.5983, 0.5983)
O (0.6517, 0.6517, 0.6517)
O (0.8483, 0.8483, 0.8483)
O (0.9016, 0.9016, 0.9016)

Principal peaks in the range 5° ≤ 2θ ≤ 70°, by angle:
d (Å)  2θ/deg  I_rel
2.887  31.0  29
2.630  34.1  9
2.544  35.3  100
2.267  39.8  37
1.925  47.2  1
1.679  54.7  30
1.536  60.2  25
1.452  64.2  20
1.443  64.6  4
1.356  69.3  16


Question: What is the formula in the sixth record?
Answer: MnCdF5